Diffraction record for Pu3SiB2Pd8. The powder diffractogram is calculated, not measured: it uses a structure optimized by DFT (GGA-PBE) and a wavelength of 1.5418 Å.

Largest 12 diffraction maxima, in order of rising 2θ, 2θ = 15–90°:
d 4.190, 2θ = 21.20°, intensity 47.2
d 2.697, 2θ = 33.22°, intensity 46.1
d 2.618, 2θ = 34.25°, intensity 100.0
d 2.344, 2θ = 38.40°, intensity 82.0
d 2.268, 2θ = 39.75°, intensity 82.8
d 2.114, 2θ = 42.77°, intensity 30.6
d 2.095, 2θ = 43.18°, intensity 19.6
d 1.541, 2θ = 60.02°, intensity 40.1
d 1.479, 2θ = 62.82°, intensity 19.6
d 1.472, 2θ = 63.15°, intensity 20.3
d 1.348, 2θ = 69.74°, intensity 25.1
d 1.309, 2θ = 72.16°, intensity 19.5

Structure:
Cell: 5.3935 5.3935 9.4844 Å, 90.00 90.00 120.00°
Element x y z (fractional)
1 Pu 0.0000 0.0000 0.0000
2 Pu 0.3333 0.6667 0.5685
3 Pu 0.6667 0.3333 0.4315
4 Si 0.0000 0.0000 0.5000
5 B 0.3333 0.6667 0.1188
6 B 0.6667 0.3333 0.8812
7 Pd 0.1675 0.3349 0.2744
8 Pd 0.1675 0.8325 0.2744
9 Pd 0.3333 0.6667 0.9049
10 Pd 0.3349 0.1675 0.7256
11 Pd 0.6651 0.8325 0.2744
12 Pd 0.6667 0.3333 0.0951
13 Pd 0.8325 0.1675 0.7256
14 Pd 0.8325 0.6651 0.7256

=====

Diffraction record for Rb2B2PdS6. The powder diffractogram is calculated, not measured: it uses a structure optimized by DFT (GGA-PBE) and a wavelength of 1.5418 Å.

Largest 12 diffraction maxima, in order of rising 2θ, 2θ = 15–90°:
d 5.420, 2θ = 16.35°, intensity 47.3
d 3.927, 2θ = 22.64°, intensity 20.3
d 3.464, 2θ = 25.72°, intensity 100.0
d 3.228, 2θ = 27.63°, intensity 43.7
d 2.710, 2θ = 33.06°, intensity 28.9
d 2.494, 2θ = 36.02°, intensity 58.8
d 2.362, 2θ = 38.10°, intensity 15.6
d 2.053, 2θ = 44.12°, intensity 19.6
d 1.953, 2θ = 46.51°, intensity 30.0
d 1.906, 2θ = 47.71°, intensity 29.4
d 1.614, 2θ = 57.06°, intensity 23.4
d 1.463, 2θ = 63.60°, intensity 14.1

Structure:
Cell: 8.2465 8.2465 8.2465 Å, 46.09 46.09 46.09°
Element x y z (fractional)
1 Rb 0.2126 0.2126 0.2126
2 Rb 0.7874 0.7874 0.7874
3 B 0.3931 0.3931 0.3931
4 B 0.6069 0.6069 0.6069
5 Pd 0.0000 0.0000 0.0000
6 S 0.2437 0.2437 0.7277
7 S 0.2437 0.7277 0.2437
8 S 0.2723 0.7563 0.7563
9 S 0.7277 0.2437 0.2437
10 S 0.7563 0.2723 0.7563
11 S 0.7563 0.7563 0.2723

=====

Diffraction record for Rb2BPdSe4. The powder diffractogram is calculated, not measured: it uses a structure optimized by DFT (GGA-PBE) and a wavelength of 1.5418 Å.

Largest 12 diffraction maxima, in order of rising 2θ, 2θ = 15–90°:
d 5.555, 2θ = 15.95°, intensity 40.7
d 5.394, 2θ = 16.43°, intensity 21.6
d 3.583, 2θ = 24.85°, intensity 44.0
d 3.243, 2θ = 27.50°, intensity 63.6
d 3.208, 2θ = 27.81°, intensity 21.2
d 2.780, 2θ = 32.20°, intensity 100.0
d 2.697, 2θ = 33.22°, intensity 17.8
d 2.455, 2θ = 36.60°, intensity 34.8
d 2.196, 2θ = 41.11°, intensity 17.5
d 1.816, 2θ = 50.23°, intensity 46.5
d 1.806, 2θ = 50.54°, intensity 19.1
d 1.726, 2θ = 53.05°, intensity 16.6

Structure:
Cell: 12.5854 11.2996 7.2996 Å, 82.14 62.80 35.07°
Element x y z (fractional)
1 Rb 0.0572 0.0572 0.6928
2 Rb 0.3072 0.3072 0.9428
3 Rb 0.6928 0.6928 0.0572
4 Rb 0.9428 0.9428 0.3072
5 B 0.3750 0.3750 0.3750
6 B 0.6250 0.6250 0.6250
7 Pd 0.1250 0.1250 0.1250
8 Pd 0.8750 0.8750 0.8750
9 Se 0.0362 0.6044 0.5621
10 Se 0.2972 0.5621 0.6044
11 Se 0.3956 0.9638 0.7028
12 Se 0.4379 0.7028 0.9638
13 Se 0.5621 0.2972 0.0362
14 Se 0.6044 0.0362 0.2972
15 Se 0.7028 0.4379 0.3956
16 Se 0.9638 0.3956 0.4379

=====

Diffraction record for BPd2Rh. The powder diffractogram is calculated, not measured: it uses a structure optimized by DFT (GGA-PBE) and a wavelength of 1.5418 Å.

Largest 12 diffraction maxima, in order of rising 2θ, 2θ = 15–90°:
d 2.392, 2θ = 37.60°, intensity 100.0
d 2.145, 2θ = 42.13°, intensity 40.4
d 1.946, 2θ = 46.68°, intensity 14.0
d 1.517, 2θ = 61.10°, intensity 13.1
d 1.442, 2θ = 64.65°, intensity 15.4
d 1.439, 2θ = 64.77°, intensity 5.1
d 1.281, 2θ = 73.98°, intensity 19.9
d 1.280, 2θ = 74.07°, intensity 6.6
d 1.197, 2θ = 80.17°, intensity 5.5
d 1.195, 2θ = 80.33°, intensity 5.5
d 1.193, 2θ = 80.48°, intensity 4.6
d 1.192, 2θ = 80.59°, intensity 4.6

Structure:
Cell: 3.0335 3.0335 6.2141 Å, 104.03 104.03 90.01°
Element x y z (fractional)
1 B 0.0000 0.0000 0.0000
2 Pd 0.1756 0.1756 0.3500
3 Pd 0.8244 0.8244 0.6500
4 Rh 0.5000 0.5000 0.0000

=====

Diffraction record for BPd2Rh. The powder diffractogram is calculated, not measured: it uses a structure optimized by DFT (GGA-PBE) and a wavelength of 1.5418 Å.

Largest 12 diffraction maxima, in order of rising 2θ, 2θ = 15–90°:
d 2.556, 2θ = 35.11°, intensity 100.0
d 2.396, 2θ = 37.54°, intensity 32.0
d 2.143, 2θ = 42.16°, intensity 13.3
d 2.130, 2θ = 42.45°, intensity 51.0
d 2.040, 2θ = 44.40°, intensity 30.5
d 1.748, 2θ = 52.34°, intensity 13.4
d 1.592, 2θ = 57.94°, intensity 15.8
d 1.380, 2θ = 67.94°, intensity 8.8
d 1.329, 2θ = 70.90°, intensity 9.0
d 1.304, 2θ = 72.51°, intensity 17.0
d 1.212, 2θ = 79.03°, intensity 14.3
d 1.122, 2θ = 86.84°, intensity 9.7

Structure:
Cell: 5.3495 5.3495 5.3495 Å, 101.39 101.39 127.23°
Element x y z (fractional)
1 B 0.0000 0.0000 0.0000
2 B 0.7500 0.2500 0.5000
3 Pd 0.0331 0.6250 0.9081
4 Pd 0.3750 0.2831 0.4081
5 Pd 0.7169 0.1250 0.0919
6 Pd 0.8750 0.9669 0.5919
7 Rh 0.2500 0.7500 0.5000
8 Rh 0.5000 0.5000 0.0000

=====

Diffraction record for B2PdRh2. The powder diffractogram is calculated, not measured: it uses a structure optimized by DFT (GGA-PBE) and a wavelength of 1.5418 Å.

Largest 12 diffraction maxima, in order of rising 2θ, 2θ = 15–90°:
d 2.699, 2θ = 33.20°, intensity 31.2
d 2.642, 2θ = 33.93°, intensity 32.6
d 2.621, 2θ = 34.21°, intensity 44.8
d 2.470, 2θ = 36.37°, intensity 100.0
d 2.359, 2θ = 38.15°, intensity 19.2
d 2.347, 2θ = 38.35°, intensity 96.8
d 2.142, 2θ = 42.19°, intensity 42.8
d 2.119, 2θ = 42.66°, intensity 28.6
d 1.962, 2θ = 46.28°, intensity 35.6
d 1.858, 2θ = 49.03°, intensity 41.8
d 1.515, 2θ = 61.16°, intensity 19.6
d 1.349, 2θ = 69.71°, intensity 22.4

Structure:
Cell: 3.9734 3.7157 7.9642 Å, 90.00 99.12 90.00°
Element x y z (fractional)
1 B 0.1528 0.2500 0.0064
2 B 0.2995 0.7500 0.6167
3 B 0.7005 0.2500 0.3833
4 B 0.8472 0.7500 0.9936
5 Pd 0.2085 0.7500 0.2268
6 Pd 0.7915 0.2500 0.7732
7 Rh 0.2457 0.2500 0.4977
8 Rh 0.3127 0.7500 0.8802
9 Rh 0.6873 0.2500 0.1198
10 Rh 0.7543 0.7500 0.5023

=====

Diffraction record for BPdRh2. The powder diffractogram is calculated, not measured: it uses a structure optimized by DFT (GGA-PBE) and a wavelength of 1.5418 Å.

Largest 12 diffraction maxima, in order of rising 2θ, 2θ = 15–90°:
d 2.449, 2θ = 36.70°, intensity 90.8
d 2.403, 2θ = 37.43°, intensity 15.4
d 2.248, 2θ = 40.12°, intensity 90.2
d 2.150, 2θ = 42.03°, intensity 100.0
d 1.940, 2θ = 46.83°, intensity 13.4
d 1.836, 2θ = 49.64°, intensity 13.3
d 1.643, 2θ = 55.98°, intensity 15.8
d 1.421, 2θ = 65.70°, intensity 34.1
d 1.397, 2θ = 66.99°, intensity 16.2
d 1.327, 2θ = 71.04°, intensity 18.6
d 1.229, 2θ = 77.67°, intensity 39.7
d 1.186, 2θ = 81.12°, intensity 14.1

Structure:
Cell: 7.5323 7.5323 7.5323 Å, 21.75 21.75 21.75°
Element x y z (fractional)
1 B 0.0000 0.0000 0.0000
2 Pd 0.8343 0.8343 0.8343
3 Rh 0.3948 0.3948 0.3948
4 Rh 0.6057 0.6057 0.6057

=====

Diffraction record for B2PdRh2. The powder diffractogram is calculated, not measured: it uses a structure optimized by DFT (GGA-PBE) and a wavelength of 1.5418 Å.

Largest 12 diffraction maxima, in order of rising 2θ, 2θ = 15–90°:
d 2.695, 2θ = 33.24°, intensity 11.3
d 2.683, 2θ = 33.39°, intensity 19.2
d 2.330, 2θ = 38.63°, intensity 100.0
d 2.313, 2θ = 38.94°, intensity 81.0
d 1.756, 2θ = 52.08°, intensity 8.8
d 1.745, 2θ = 52.45°, intensity 8.7
d 1.554, 2θ = 59.50°, intensity 18.7
d 1.547, 2θ = 59.78°, intensity 9.1
d 1.344, 2θ = 70.02°, intensity 8.6
d 1.332, 2θ = 70.71°, intensity 8.3
d 1.294, 2θ = 73.16°, intensity 19.8
d 1.287, 2θ = 73.61°, intensity 8.8

Structure:
Cell: 5.3667 5.3667 5.5401 Å, 118.34 118.34 60.29°
Element x y z (fractional)
1 B 0.1114 0.6083 0.0711
2 B 0.2403 0.7597 0.5000
3 B 0.6083 0.1114 0.5711
4 B 0.7597 0.2403 0.0000
5 Pd 0.5424 0.6817 0.2835
6 Pd 0.6817 0.5424 0.7835
7 Rh 0.0364 0.8311 0.7863
8 Rh 0.1849 0.3286 0.2860
9 Rh 0.3286 0.1849 0.7860
10 Rh 0.8311 0.0364 0.2863